# 1
Starting from a cell relaxed with GGA+U, the powder X-ray diffraction pattern of Mg2FeWO6 was simulated for Cu Kα.
No peak broadening, texture or thermal motion is included.

Peak list (8 most intense, 15° ≤ 2θ ≤ 90°, by angle)
two_theta, d (Å), I_rel
20.09, 4.420, 645
20.37, 4.361, 450
22.53, 3.946, 509
23.82, 3.736, 873
33.00, 2.714, 1000
33.08, 2.708, 354
33.59, 2.668, 292
48.75, 1.868, 304

Structure:
```
Mg2FeWO6
1.0
5.2321 0.0000 0.0000
-0.0098 5.3357 0.0000
-0.0244 -0.0041 7.8918
Mg Fe W O
4 2 2 12
direct
0.0006 0.4602 0.2280 Mg
0.4978 0.9606 0.2724 Mg
0.5022 0.0394 0.7276 Mg
0.9994 0.5398 0.7720 Mg
0.0000 0.0000 0.0000 Fe
0.5000 0.5000 0.5000 Fe
0.0000 0.0000 0.5000 W
0.5000 0.5000 0.0000 W
0.1283 0.0975 0.2749 O
0.1588 0.2995 0.5956 O
0.1802 0.3255 0.9541 O
0.3196 0.8261 0.5452 O
0.3418 0.7982 0.9034 O
0.3708 0.5978 0.2248 O
0.6292 0.4022 0.7752 O
0.6582 0.2018 0.0966 O
0.6804 0.1739 0.4548 O
0.8198 0.6745 0.0459 O
0.8412 0.7005 0.4044 O
0.8717 0.9025 0.7251 O
```

# 2
Starting from a cell relaxed with GGA+U, the powder X-ray diffraction pattern of Mg3Fe4W6O24 was simulated for Cu Kα.
No peak broadening, texture or thermal motion is included.

Peak list (8 most intense, 15° ≤ 2θ ≤ 90°, by angle)
two_theta, d (Å), I_rel
18.54, 4.785, 356
21.26, 4.178, 316
22.81, 3.899, 381
25.49, 3.495, 398
26.09, 3.416, 310
26.91, 3.313, 1000
27.82, 3.207, 271
31.21, 2.866, 218

Structure:
```
Mg3Fe4W6O24
1.0
7.1365 0.0000 0.0000
-1.6822 8.2955 0.0000
-2.5846 -3.0461 9.5261
Mg Fe W O
3 4 6 24
direct
0.0000 0.0000 0.0000 Mg
0.2706 0.7725 0.2845 Mg
0.7294 0.2275 0.7155 Mg
0.0469 0.7003 0.5139 Fe
0.3823 0.4595 0.1064 Fe
0.6177 0.5405 0.8936 Fe
0.9531 0.2997 0.4861 Fe
0.0999 0.5969 0.8345 W
0.2228 0.1562 0.7696 W
0.4060 0.2189 0.3779 W
0.5940 0.7811 0.6221 W
0.7772 0.8438 0.2304 W
0.9001 0.4031 0.1655 W
0.0115 0.2225 0.6745 O
0.0673 0.5457 0.6403 O
0.1043 0.8092 0.9337 O
0.1461 0.5375 0.1585 O
0.1740 0.9370 0.6787 O
0.2096 0.1728 0.9466 O
0.2334 0.2779 0.4665 O
0.2852 0.0032 0.2607 O
0.3285 0.5235 0.9143 O
0.3594 0.7688 0.4875 O
0.4467 0.3543 0.2718 O
0.4736 0.2592 0.7680 O
0.5264 0.7408 0.2320 O
0.5533 0.6457 0.7282 O
0.6406 0.2312 0.5125 O
0.6715 0.4765 0.0857 O
0.7148 0.9968 0.7393 O
0.7666 0.7221 0.5335 O
0.7904 0.8272 0.0534 O
0.8260 0.0630 0.3213 O
0.8539 0.4625 0.8415 O
0.8957 0.1908 0.0663 O
0.9327 0.4543 0.3597 O
0.9885 0.7775 0.3255 O
```

# 3
Starting from a cell relaxed with GGA+U, the powder X-ray diffraction pattern of MgFe2W2O8 was simulated for Cu Kα.
No peak broadening, texture or thermal motion is included.

Peak list (8 most intense, 15° ≤ 2θ ≤ 90°, by angle)
two_theta, d (Å), I_rel
17.10, 5.186, 513
22.68, 3.920, 728
23.11, 3.849, 734
28.14, 3.171, 1000
29.61, 3.017, 847
34.59, 2.593, 436
34.88, 2.572, 556
35.73, 2.513, 345

Structure:
```
MgFe2W2O8
1.0
5.0370 0.0000 0.0000
0.0000 5.9877 0.0000
-0.3527 0.0000 5.1862
Mg Fe W O
1 2 2 8
direct
0.0000 0.0000 0.0000 Mg
0.0000 0.4488 0.0000 Fe
0.5000 0.7033 0.0000 Fe
0.0000 0.9046 0.5000 W
0.5000 0.2443 0.5000 W
0.1400 0.7193 0.7802 O
0.1858 0.1741 0.7149 O
0.3032 0.9750 0.2792 O
0.3486 0.4498 0.2418 O
0.6514 0.4498 0.7582 O
0.6968 0.9750 0.7208 O
0.8142 0.1741 0.2851 O
0.8600 0.7193 0.2198 O
```

# 4
Starting from a cell relaxed with GGA+U, the powder X-ray diffraction pattern of Y2MgFe2O6 was simulated for Cu Kα.
No peak broadening, texture or thermal motion is included.

Peak list (8 most intense, 15° ≤ 2θ ≤ 90°, by angle)
two_theta, d (Å), I_rel
30.22, 2.958, 826
31.70, 2.823, 802
32.17, 2.783, 958
32.38, 2.765, 859
33.91, 2.644, 637
35.88, 2.503, 788
51.03, 1.790, 1000
53.31, 1.718, 532

Structure:
```
Y2MgFe2O6
1.0
3.1465 -1.7184 0.0000
3.1465 1.7184 0.0000
-0.5171 0.0000 13.8246
Y Mg Fe O
2 1 2 6
direct
0.0000 0.0000 0.0000 Y
0.0417 0.0417 0.4175 Y
0.3801 0.3801 0.6084 Mg
0.3460 0.3460 0.2199 Fe
0.6907 0.6907 0.7741 Fe
0.0318 0.0318 0.2448 O
0.3321 0.3321 0.0655 O
0.3625 0.3625 0.3852 O
0.6555 0.6555 0.9106 O
0.6855 0.6855 0.5453 O
0.9777 0.9777 0.7094 O
```